Starting from a cell relaxed with GGA+U, the X-ray powder pattern of CsBa2Cr2F11 was calculated for Cu Kα X-rays.
Intensities are scaled so that the largest is 100.

```
data_CsBa2Cr2F11
_cell_length_a 6.131
_cell_length_b 6.131
_cell_length_c 15.467
_cell_angle_alpha 90.00
_cell_angle_beta 90.00
_cell_angle_gamma 90.00
_space_group_name_H-M_alt 'I 4/m m m'
_space_group_IT_number 139
_space_group_name_Hall '-I 4 2'
loop_
_atom_site_label
_atom_site_type_symbol
_atom_site_fract_x
_atom_site_fract_y
_atom_site_fract_z
_atom_site_occupancy
Cs1 Cs 0.000 0.000 0.000 1
Ba1 Ba 0.000 0.500 0.250 1
Cr1 Cr 0.000 0.000 0.374 1
F1 F 0.000 0.000 0.249 1
F2 F 0.000 0.000 0.500 1
F3 F 0.224 0.224 0.365 1
```

Top 10 peaks for 2θ from 5° to 70°, in order of rising 2θ:
two_theta	I_rel	index
11.4	30	0 0 2
22.5	36	1 0 3
23.5	100	1 1 2
29.1	36	2 0 0
37.4	52	2 0 4
40.7	25	1 1 6
41.7	38	2 2 0
48.4	29	3 1 2
59.7	16	3 1 6
64.6	18	2 2 8